For RbTmAgI6, a crystal structure in Alexandria, relaxed with GGA-PBE gives the computed XRD peak list in this record (copper Kα).

Structure:
a = 7.544 Å, b = 7.667 Å, c = 8.007 Å
α = 93.55°, β = 95.49°, γ = 112.25°
Element x y z (fractional)
Rb 0.000 0.000 0.000
Tm 0.375 0.659 0.506
Ag 0.751 0.343 0.459
I 0.044 0.605 0.246
I 0.079 0.338 0.659
I 0.396 0.947 0.766
I 0.449 0.386 0.249
I 0.646 0.958 0.317
I 0.667 0.564 0.724

Top 10 peaks for 2θ from 5° to 70°, in order of rising 2θ:
2θ/deg	d_spacing	I_rel
11.17	7.925	96
17.74	4.999	60
22.51	3.949	100
25.55	3.486	47
26.50	3.364	57
27.25	3.273	86
28.72	3.109	46
33.41	2.682	61
34.35	2.611	46
42.98	2.105	55

For TlIn3Te8Pb2, a crystal structure in Alexandria, relaxed with GGA-PBE gives the computed XRD peak list in this record (copper Kα).

Structure:
a = 9.252 Å, b = 9.252 Å, c = 9.252 Å
α = 58.03°, β = 58.03°, γ = 58.03°
Element x y z (fractional)
Tl 0.000 0.000 0.000
In 0.121 0.623 0.623
In 0.623 0.121 0.623
In 0.623 0.623 0.121
Te 0.372 0.372 0.838
Te 0.372 0.838 0.372
Te 0.388 0.388 0.388
Te 0.409 0.868 0.868
Te 0.838 0.372 0.372
Te 0.861 0.861 0.861
Te 0.868 0.409 0.868
Te 0.868 0.868 0.409
Pb 0.248 0.248 0.248
Pb 0.620 0.620 0.620

Top 10 peaks for 2θ from 5° to 70°, in order of rising 2θ:
2θ/deg	d_spacing	I_rel
19.78	4.488	42
22.46	3.958	39
22.96	3.873	81
27.71	3.220	89
35.79	2.509	30
36.28	2.476	45
36.61	2.455	29
38.97	2.311	95
40.19	2.244	100
57.22	1.610	38

For Sr2NiSn3, a crystal structure in Alexandria, relaxed with GGA-PBE gives the computed XRD peak list in this record (copper Kα).

Structure:
a = 9.364 Å, b = 9.283 Å, c = 6.669 Å
α = 69.70°, β = 68.39°, γ = 41.91°
Element x y z (fractional)
Sr 0.244 0.756 0.244
Sr 0.250 0.250 0.250
Sr 0.750 0.750 0.750
Sr 0.756 0.244 0.756
Ni 0.332 0.332 0.668
Ni 0.668 0.668 0.332
Sn 0.177 0.177 0.823
Sn 0.181 0.641 0.819
Sn 0.359 0.819 0.641
Sn 0.641 0.181 0.359
Sn 0.819 0.359 0.181
Sn 0.823 0.823 0.177

Top 10 peaks for 2θ from 5° to 70°, in order of rising 2θ:
2θ/deg	d_spacing	I_rel
18.50	4.796	21
28.99	3.080	100
30.89	2.895	7
37.51	2.398	21
38.82	2.320	52
43.33	2.088	12
49.18	1.853	21
55.09	1.667	37
62.54	1.485	11
64.32	1.448	13

For Rb6ZrSe4, a crystal structure in Alexandria, relaxed with GGA-PBE gives the computed XRD peak list in this record (copper Kα).

Structure:
a = 11.308 Å, b = 11.308 Å, c = 8.458 Å
α = 90.00°, β = 90.00°, γ = 120.00°
Element x y z (fractional)
Rb 0.066 0.533 0.000
Rb 0.130 0.260 0.679
Rb 0.130 0.870 0.679
Rb 0.260 0.130 0.179
Rb 0.467 0.533 0.000
Rb 0.467 0.934 0.000
Rb 0.533 0.066 0.500
Rb 0.533 0.467 0.500
Rb 0.740 0.870 0.679
Rb 0.870 0.130 0.179
Rb 0.870 0.740 0.179
Rb 0.934 0.467 0.500
Zr 0.333 0.667 0.403
Zr 0.667 0.333 0.903
Se 0.210 0.419 0.299
Se 0.210 0.790 0.299
Se 0.333 0.667 0.709
Se 0.419 0.210 0.799
Se 0.581 0.790 0.299
Se 0.667 0.333 0.209
Se 0.790 0.210 0.799
Se 0.790 0.581 0.799

Top 10 peaks for 2θ from 5° to 70°, in order of rising 2θ:
2θ/deg	d_spacing	I_rel
9.03	9.793	29
22.91	3.883	25
26.28	3.391	100
27.87	3.201	70
29.33	3.046	67
31.65	2.827	45
33.05	2.710	28
47.66	1.908	24
48.29	1.885	24
52.04	1.757	27

For DyErTm2Tl4, a crystal structure in Alexandria, relaxed with GGA-PBE gives the computed XRD peak list in this record (copper Kα).

Structure:
a = 9.254 Å, b = 9.254 Å, c = 9.254 Å
α = 33.46°, β = 33.46°, γ = 33.46°
Element x y z (fractional)
Dy 0.000 0.000 0.000
Er 0.500 0.500 0.500
Tm 0.250 0.250 0.250
Tm 0.750 0.750 0.750
Tl 0.125 0.125 0.125
Tl 0.375 0.375 0.375
Tl 0.625 0.625 0.625
Tl 0.875 0.875 0.875

Top 5 peaks for 2θ from 5° to 70°, in order of rising 2θ:
2θ/deg	d_spacing	I_rel
23.59	3.771	1
33.61	2.667	100
48.26	1.886	18
59.98	1.542	10
60.14	1.539	29

For Ac5TlCu2, a crystal structure in Alexandria, relaxed with GGA-PBE gives the computed XRD peak list in this record (copper Kα).

Structure:
a = 9.413 Å, b = 9.413 Å, c = 9.413 Å
α = 124.96°, β = 124.96°, γ = 81.60°
Element x y z (fractional)
Ac 0.000 0.000 0.000
Ac 0.013 0.513 0.810
Ac 0.203 0.013 0.500
Ac 0.297 0.797 0.810
Ac 0.487 0.297 0.500
Ac 0.500 0.500 0.000
Ac 0.513 0.703 0.500
Ac 0.703 0.203 0.190
Ac 0.797 0.987 0.500
Ac 0.987 0.487 0.190
Tl 0.250 0.250 0.000
Tl 0.750 0.750 0.000
Cu 0.129 0.371 0.500
Cu 0.371 0.871 0.241
Cu 0.629 0.129 0.759
Cu 0.871 0.629 0.500

Top 10 peaks for 2θ from 5° to 70°, in order of rising 2θ:
2θ/deg	d_spacing	I_rel
23.71	3.753	32
28.98	3.081	48
29.68	3.010	86
32.53	2.752	100
49.08	1.856	17
50.60	1.804	14
51.42	1.777	24
60.16	1.538	14
60.55	1.529	16
62.07	1.495	15

For La2Pu12Rh7, a crystal structure in Alexandria, relaxed with GGA-PBE gives the computed XRD peak list in this record (copper Kα).

Structure:
a = 11.641 Å, b = 11.641 Å, c = 4.121 Å
α = 90.00°, β = 90.00°, γ = 120.00°
Element x y z (fractional)
La 0.000 0.000 0.000
La 0.333 0.667 0.500
Pu 0.096 0.721 0.000
Pu 0.109 0.314 0.500
Pu 0.205 0.891 0.500
Pu 0.279 0.375 0.000
Pu 0.391 0.169 0.000
Pu 0.540 0.431 0.500
Pu 0.569 0.108 0.500
Pu 0.625 0.904 0.000
Pu 0.686 0.795 0.500
Pu 0.778 0.609 0.000
Pu 0.831 0.222 0.000
Pu 0.892 0.460 0.500
Rh 0.081 0.474 0.000
Rh 0.239 0.159 0.500
Rh 0.393 0.919 0.000
Rh 0.526 0.607 0.000
Rh 0.667 0.333 0.000
Rh 0.841 0.080 0.500
Rh 0.920 0.761 0.500

Top 10 peaks for 2θ from 5° to 70°, in order of rising 2θ:
2θ/deg	d_spacing	I_rel
30.72	2.910	17
31.99	2.798	100
34.44	2.604	28
38.93	2.314	50
41.03	2.200	21
43.94	2.061	22
50.38	1.811	13
55.41	1.658	12
60.16	1.538	16
61.68	1.504	17

For YbCu3Te3, a crystal structure in Alexandria, relaxed with GGA-PBE gives the computed XRD peak list in this record (copper Kα).

Structure:
a = 8.356 Å, b = 8.356 Å, c = 8.356 Å
α = 52.61°, β = 52.61°, γ = 52.61°
Element x y z (fractional)
Yb 0.165 0.165 0.165
Yb 0.835 0.835 0.835
Cu 0.024 0.363 0.731
Cu 0.269 0.976 0.637
Cu 0.363 0.731 0.024
Cu 0.637 0.269 0.976
Cu 0.731 0.024 0.363
Cu 0.976 0.637 0.269
Te 0.096 0.732 0.420
Te 0.268 0.580 0.904
Te 0.420 0.096 0.732
Te 0.580 0.904 0.268
Te 0.732 0.420 0.096
Te 0.904 0.268 0.580

Top 10 peaks for 2θ from 5° to 70°, in order of rising 2θ:
2θ/deg	d_spacing	I_rel
14.41	6.147	14
24.85	3.584	12
27.10	3.291	100
34.81	2.577	77
42.27	2.138	79
45.11	2.010	55
50.93	1.793	20
55.88	1.645	20
63.53	1.464	18
68.26	1.374	22